(1)
Diffraction record for AcPm6Nd4. The XRD peak list is computed, not measured: it uses a structure optimized by DFT (PBE) and λ = 1.5418 Å (Cu Kα).

Largest 10 diffraction maxima, by angle, 10° ≤ 2θ ≤ 80°:
| h k l | d/Å | two_theta | I_rel |
| --- | --- | --- | --- |
| 1 1 4 | 3.246 | 27.48 | 36 |
| 2 0 2 | 3.156 | 28.28 | 80 |
| 1 0 5 | 3.135 | 28.47 | 39 |
| 2 1 1 | 2.978 | 30.00 | 100 |
| 0 0 6 | 2.949 | 30.31 | 29 |
| 2 0 4 | 2.685 | 33.37 | 90 |
| 1 1 6 | 2.509 | 35.79 | 37 |
| 2 2 0 | 2.389 | 37.66 | 33 |
| 2 1 5 | 2.298 | 39.21 | 28 |
| 4 1 1 | 1.632 | 56.39 | 30 |

Atomic structure:
Unit cell a=6.756 b=6.756 c=17.693 alpha=90.00 beta=90.00 gamma=90.00
Space group I-42m (No. 121)
One atom of each set of equivalent atoms:
Ac: 0.000 0.000 0.000 x2
Pm: 0.000 0.500 0.000 x4
Pm: 0.179 0.179 0.373 x8
Nd: 0.191 0.191 0.181 x8

(2)
Diffraction record for AcPm14Nd. The XRD peak list is computed, not measured: it uses a structure optimized by DFT (PBE) and λ = 1.5418 Å (Cu Kα).

Largest 10 diffraction maxima, by angle, 10° ≤ 2θ ≤ 80°:
| h k l | d/Å | two_theta | I_rel |
| --- | --- | --- | --- |
| 0 0 4 | 3.208 | 27.81 | 23 |
| 4 0 0 | 2.974 | 30.04 | 25 |
| 2 2 2 | 2.824 | 31.69 | 100 |
| 4 0 4 | 2.181 | 41.39 | 16 |
| 0 4 0 | 1.852 | 49.19 | 20 |
| 6 2 2 | 1.687 | 54.39 | 22 |
| 4 4 0 | 1.572 | 58.72 | 23 |
| 2 0 8 | 1.549 | 59.70 | 16 |
| 4 4 4 | 1.412 | 66.19 | 4 |
| 6 0 8 | 1.247 | 76.36 | 8 |

Atomic structure:
Unit cell a=11.898 b=7.414 c=12.827 alpha=90.00 beta=90.00 gamma=90.00
Space group Amm2 (No. 38)
One atom of each set of equivalent atoms:
Ac: 0.000 0.000 0.000 x2
Pm: 0.000 0.249 0.251 x4
Pm: 0.250 0.000 0.668 x4
Pm: 0.253 0.000 0.168 x4
Pm: 0.254 0.249 0.417 x8
Pm: 0.500 0.000 0.001 x2
Pm: 0.500 0.000 0.501 x2
Pm: 0.500 0.250 0.250 x4
Nd: 0.000 0.000 0.500 x2

(3)
Diffraction record for Ac8PmNd5. The XRD peak list is computed, not measured: it uses a structure optimized by DFT (PBE) and λ = 1.5418 Å (Cu Kα).

Largest 10 diffraction maxima, by angle, 10° ≤ 2θ ≤ 80°:
| h k l | d/Å | two_theta | I_rel |
| --- | --- | --- | --- |
| 2 1 -1 | 3.208 | 27.81 | 38 |
| 0 1 -3 | 3.103 | 28.77 | 52 |
| 0 2 1 | 3.083 | 28.96 | 100 |
| 0 3 -2 | 2.970 | 30.08 | 45 |
| -2 1 2 | 2.931 | 30.49 | 42 |
| 2 0 2 | 2.346 | 38.36 | 17 |
| -4 1 1 | 1.903 | 47.81 | 18 |
| 2 -5 3 | 1.717 | 53.37 | 12 |
| 4 0 -4 | 1.622 | 56.76 | 16 |
| 4 1 0 | 1.618 | 56.89 | 16 |

Atomic structure:
Unit cell a=7.609 b=9.278 c=9.594 alpha=114.33 beta=101.39 gamma=101.89
Space group P1 (No. 1)
One atom of each set of equivalent atoms:
Ac: 0.000 0.000 0.000 x1
Ac: 0.037 0.828 0.288 x1
Ac: 0.313 0.679 0.564 x1
Ac: 0.387 0.411 0.148 x1
Ac: 0.503 0.001 0.014 x1
Ac: 0.607 0.549 0.871 x1
Ac: 0.813 0.677 0.556 x1
Ac: 0.921 0.242 0.431 x1
Pm: 0.213 0.125 0.715 x1
Nd: 0.111 0.553 0.881 x1
Nd: 0.421 0.233 0.430 x1
Nd: 0.537 0.840 0.298 x1
Nd: 0.711 0.125 0.717 x1
Nd: 0.885 0.400 0.136 x1

(4)
Diffraction record for AcPm6Nd12. The XRD peak list is computed, not measured: it uses a structure optimized by DFT (PBE) and λ = 1.5418 Å (Cu Kα).

Largest 10 diffraction maxima, by angle, 10° ≤ 2θ ≤ 80°:
| h k l | d/Å | two_theta | I_rel |
| --- | --- | --- | --- |
| 1 3 1 | 3.194 | 27.93 | 22 |
| 1 0 4 | 3.077 | 29.02 | 35 |
| 3 1 2 | 2.930 | 30.51 | 43 |
| 4 0 1 | 2.897 | 30.86 | 100 |
| 0 4 2 | 2.695 | 33.24 | 28 |
| 2 2 3 | 2.670 | 33.57 | 45 |
| 3 0 6 | 1.872 | 48.64 | 19 |
| 4 4 0 | 1.717 | 53.35 | 18 |
| 4 3 4 | 1.667 | 55.10 | 21 |
| 0 7 2 | 1.643 | 55.98 | 18 |

Atomic structure:
Unit cell a=13.7375 b=13.7375 c=12.7434 alpha=90.00 beta=90.00 gamma=120.00
Space group R-3m (No. 166, hexagonal axes)
One atom of each set of equivalent atoms:
Ac: 0.0000 0.0000 0.0000 x3
Pm: 0.0379 0.5190 0.6178 x18
Nd: 0.0000 0.2598 0.5000 x18
Nd: 0.0908 0.1816 0.2638 x18

(5)
Diffraction record for Ac2Pm3Nd7. The XRD peak list is computed, not measured: it uses a structure optimized by DFT (PBE) and λ = 1.5418 Å (Cu Kα).

Largest 10 diffraction maxima, by angle, 10° ≤ 2θ ≤ 80°:
| h k l | d/Å | two_theta | I_rel |
| --- | --- | --- | --- |
| 1 1 1 | 3.131 | 28.51 | 37 |
| 0 0 6 | 3.038 | 29.40 | 85 |
| 2 0 -3 | 3.022 | 29.56 | 70 |
| 1 1 2 | 2.975 | 30.04 | 100 |
| 2 0 3 | 2.750 | 32.56 | 51 |
| 1 1 -4 | 2.695 | 33.25 | 66 |
| 1 1 -5 | 2.477 | 36.26 | 23 |
| 3 1 -1 | 1.883 | 48.33 | 34 |
| 1 1 8 | 1.811 | 50.39 | 22 |
| 0 2 6 | 1.575 | 58.61 | 25 |

Atomic structure:
Unit cell a=6.574 b=3.684 c=18.343 alpha=90.00 beta=96.47 gamma=90.00
Space group P2/m (No. 10)
One atom of each set of equivalent atoms:
Ac: 0.059 0.000 0.173 x2
Pm: 0.450 0.500 0.839 x2
Pm: 0.500 0.000 0.500 x1
Nd: 0.000 0.500 0.500 x1
Nd: 0.229 0.000 0.664 x2
Nd: 0.260 0.000 0.999 x2
Nd: 0.278 0.500 0.339 x2

(6)
Diffraction record for AcPm8Nd3. The XRD peak list is computed, not measured: it uses a structure optimized by DFT (PBE) and λ = 1.5418 Å (Cu Kα).

Largest 10 diffraction maxima, by angle, 10° ≤ 2θ ≤ 80°:
| h k l | d/Å | two_theta | I_rel |
| --- | --- | --- | --- |
| 3 1 -3 | 3.223 | 27.68 | 24 |
| 4 0 0 | 2.979 | 30.00 | 25 |
| 2 2 0 | 2.835 | 31.56 | 100 |
| 7 1 -3 | 2.187 | 41.29 | 11 |
| 6 0 -6 | 1.861 | 48.95 | 20 |
| 6 2 0 | 1.691 | 54.23 | 15 |
| 9 1 -3 | 1.689 | 54.31 | 7 |
| 1 3 3 | 1.579 | 58.44 | 8 |
| 7 3 -3 | 1.578 | 58.49 | 12 |
| 8 2 -6 | 1.555 | 59.42 | 16 |

Atomic structure:
Unit cell a=16.305 b=6.449 c=11.157 alpha=90.00 beta=133.05 gamma=90.00
Space group C2 (No. 5)
One atom of each set of equivalent atoms:
Ac: 0.000 0.000 0.000 x2
Pm: 0.000 0.496 0.170 x4
Pm: 0.000 0.998 0.335 x4
Pm: 0.248 0.670 0.578 x4
Pm: 0.248 0.670 0.917 x4
Nd: 0.000 0.499 0.500 x2
Nd: 0.248 0.162 0.748 x4